[1]
This entry pairs a crystal structure of Er3TaO7 with its computed powder diffractogram. Radiation: Cu Kα (weighted mean of Kα1 and Kα2). Structure: a PBE-relaxed structure.
No peak broadening, texture or thermal motion is included.

Crystal structure
```
Er3TaO7
1.0
7.3841 0.0000 0.0000
0.0000 10.4996 0.0000
0.0000 0.0000 7.5300
Er Ta O
12 4 28
Direct
0.0169 0.2500 0.2017
0.2482 0.0208 0.5324
0.2482 0.4792 0.5324
0.2518 0.5208 0.0324
0.2518 0.9792 0.0324
0.4831 0.7500 0.7017
0.5169 0.2500 0.2983
0.7482 0.0208 0.9676
0.7482 0.4792 0.9676
0.7518 0.5208 0.4676
0.7518 0.9792 0.4676
0.9831 0.7500 0.7983
0.0025 0.2500 0.7499
0.4975 0.7500 0.2499
0.5025 0.2500 0.7501
0.9975 0.7500 0.2501
0.0388 0.1244 0.9555
0.0388 0.3756 0.9555
0.0422 0.6089 0.4095
0.0422 0.8911 0.4095
0.2413 0.6159 0.7681
0.2413 0.8841 0.7681
0.2488 0.2500 0.6592
0.2512 0.7500 0.1592
0.2587 0.1159 0.2681
0.2587 0.3841 0.2681
0.4578 0.1089 0.9095
0.4578 0.3911 0.9095
0.4612 0.6244 0.4555
0.4612 0.8756 0.4555
0.5388 0.1244 0.5445
0.5388 0.3756 0.5445
0.5422 0.6089 0.0905
0.5422 0.8911 0.0905
0.7413 0.6159 0.7319
0.7413 0.8841 0.7319
0.7488 0.2500 0.8408
0.7512 0.7500 0.3408
0.7587 0.1159 0.2319
0.7587 0.3841 0.2319
0.9578 0.1089 0.5905
0.9578 0.3911 0.5905
0.9612 0.6244 0.0445
0.9612 0.8756 0.0445
```

The 10 most intense peaks (10° ≤ 2θ ≤ 90°), low angle first:
(0 2 2), 2θ = 29.2°, I 95
(2 2 0), 2θ = 29.6°, I 100
(2 0 2), 2θ = 34.0°, I 49
(0 4 0), 2θ = 34.2°, I 25
(2 4 2), 2θ = 49.0°, I 48
(4 0 0), 2θ = 49.4°, I 16
(2 2 4), 2θ = 57.7°, I 17
(0 6 2), 2θ = 58.1°, I 11
(4 2 2), 2θ = 58.4°, I 38
(4 6 2), 2θ = 79.7°, I 11

=====

[2]
This entry pairs a crystal structure of ErTa3O9 with its computed powder diffractogram. Radiation: Cu Kα (weighted mean of Kα1 and Kα2). Structure: a PBE-relaxed structure.
No peak broadening, texture or thermal motion is included.

Crystal structure
```
ErTa3O9
1.0
6.4386 0.0000 0.0000
0.0000 7.6192 0.0000
0.0000 0.0000 12.5721
Er Ta O
4 12 36
Direct
0.0589 0.2500 0.0353
0.4411 0.7500 0.5353
0.5589 0.2500 0.4647
0.9411 0.7500 0.9647
0.0000 0.0000 0.5000
0.0000 0.5000 0.5000
0.1972 0.0025 0.7882
0.1972 0.4975 0.7882
0.3028 0.5025 0.2882
0.3028 0.9975 0.2882
0.5000 0.0000 0.0000
0.5000 0.5000 0.0000
0.6972 0.0025 0.7118
0.6972 0.4975 0.7118
0.8028 0.5025 0.2118
0.8028 0.9975 0.2118
0.0099 0.0468 0.6575
0.0099 0.4532 0.6575
0.0761 0.7500 0.5279
0.1113 0.0412 0.1687
0.1113 0.4588 0.1687
0.1525 0.2500 0.8339
0.1984 0.7500 0.8096
0.2023 0.5327 0.9654
0.2023 0.9673 0.9654
0.2977 0.0327 0.4654
0.2977 0.4673 0.4654
0.3016 0.2500 0.3096
0.3475 0.7500 0.3339
0.3887 0.5412 0.6687
0.3887 0.9588 0.6687
0.4239 0.2500 0.0279
0.4901 0.5468 0.1575
0.4901 0.9532 0.1575
0.5099 0.0468 0.8425
0.5099 0.4532 0.8425
0.5761 0.7500 0.9721
0.6113 0.0412 0.3313
0.6113 0.4588 0.3313
0.6525 0.2500 0.6661
0.6984 0.7500 0.6904
0.7023 0.5327 0.5346
0.7023 0.9673 0.5346
0.7977 0.0327 0.0346
0.7977 0.4673 0.0346
0.8016 0.2500 0.1904
0.8475 0.7500 0.1661
0.8887 0.5412 0.8313
0.8887 0.9588 0.8313
0.9239 0.2500 0.4721
0.9901 0.5468 0.3425
0.9901 0.9532 0.3425
```

The 10 most intense peaks (10° ≤ 2θ ≤ 90°), low angle first:
(0 2 0), 2θ = 23.4°, I 65
(0 2 2), 2θ = 27.4°, I 41
(1 2 1), 2θ = 28.1°, I 81
(0 0 4), 2θ = 28.4°, I 54
(2 0 2), 2θ = 31.2°, I 100
(1 0 4), 2θ = 31.7°, I 34
(1 2 3), 2θ = 34.7°, I 64
(0 4 0), 2θ = 47.7°, I 36
(1 2 6), 2θ = 51.8°, I 31
(2 4 2), 2θ = 58.2°, I 37

=====

[3]
This entry pairs a crystal structure of Er3TaO7 with its computed powder diffractogram. Radiation: Cu Kα (weighted mean of Kα1 and Kα2). Structure: a PBE-relaxed structure.
No peak broadening, texture or thermal motion is included.

Crystal structure
```
Er3TaO7
1.0
6.3212 0.0000 0.0000
0.8459 6.3892 0.0000
0.0450 2.1844 7.2197
Er Ta O
6 2 14
Direct
0.0453 0.0076 0.2508
0.2320 0.5481 0.1064
0.2364 0.5380 0.6150
0.7636 0.4620 0.3850
0.7680 0.4519 0.8936
0.9547 0.9924 0.7492
0.5000 0.0000 0.0000
0.5000 0.0000 0.5000
0.0387 0.6390 0.8409
0.0563 0.6534 0.3344
0.2062 0.9266 0.5524
0.2067 0.9309 0.9812
0.4082 0.0457 0.2379
0.4212 0.3232 0.4520
0.4265 0.3337 0.8917
0.5735 0.6663 0.1083
0.5788 0.6768 0.5480
0.5918 0.9543 0.7621
0.7933 0.0691 0.0188
0.7938 0.0734 0.4476
0.9437 0.3466 0.6656
0.9613 0.3610 0.1591
```

The 10 most intense peaks (10° ≤ 2θ ≤ 90°), low angle first:
(1 0 2), 2θ = 29.0°, I 52
(-1 1 2), 2θ = 29.2°, I 100
(2 1 0), 2θ = 30.3°, I 46
(2 -1 0), 2θ = 33.9°, I 22
(1 2 2), 2θ = 34.2°, I 48
(1 -2 2), 2θ = 48.0°, I 13
(0 1 4), 2θ = 48.3°, I 17
(-1 3 2), 2θ = 48.4°, I 13
(3 1 2), 2θ = 49.5°, I 13
(3 0 -2), 2θ = 49.7°, I 13